# 1
Computed powder diffraction line list of TlZnP3O9 for Cu Kα (λ = 1.5418 Å), from a structure optimized by DFT (PBE).
Lines closer than 0.1° are merged.

Main lines, by angle (2θ from 10° to 90°):
(0 2 1), 2θ 16.53, rel. 28; (1 0 0), 2θ 17.61, rel. 21; (1 1 2), 2θ 23.61, rel. 33; (1 2 1), 2θ 24.24, rel. 100; (0 2 3), 2θ 25.56, rel. 35; (1 2 2), 2θ 27.05, rel. 23; (0 4 1), 2θ 31.18, rel. 28; (1 0 4), 2θ 32.86, rel. 42; (0 4 2), 2θ 33.42, rel. 35; (0 2 5), 2θ 37.91, rel. 20

Structure:
abc: 5.037 11.781 12.965
angles: 90.00 90.00 90.00
Space group Pbcm (No. 57)
Symmetry-distinct sites (fractional):
Tl 0.084 0.148 0.250 x4
Zn 0.000 0.000 0.000 x4
P 0.256 0.750 0.000 x4
P 0.478 0.080 0.636 x8
O 0.104 0.657 0.052 x8
O 0.183 0.064 0.634 x8
O 0.343 0.012 0.097 x8
O 0.429 0.615 0.750 x4
O 0.461 0.701 0.583 x8

=====

# 2
Computed powder diffraction line list of La2SmFe2Si4Pd2 for Cu Kα (λ = 1.5418 Å), from a structure optimized by DFT (PBE).
Lines closer than 0.1° are merged.

Main lines, by angle (2θ from 10° to 90°):
(0 1 3), 2θ 24.04, rel. 20; (1 0 5), 2θ 28.46, rel. 21; (1 0 7), 2θ 33.77, rel. 36; (1 1 4), 2θ 34.07, rel. 100; (0 1 9), 2θ 39.69, rel. 29; (0 2 0), 2θ 43.53, rel. 23; (2 0 0), 2θ 44.25, rel. 22; (1 2 7), 2θ 56.20, rel. 17; (2 1 9), 2θ 60.93, rel. 16; (1 1 16), 2θ 69.56, rel. 15

Structure:
abc: 4.094 4.158 24.400
angles: 90.00 90.00 90.00
Space group Immm (No. 71)
Symmetry-distinct sites (fractional):
La 0.000 0.000 0.153 x4
Sm 0.000 0.500 0.000 x2
Fe 0.000 0.500 0.250 x4
Si 0.000 0.000 0.293 x4
Si 0.000 0.500 0.452 x4
Pd 0.000 0.000 0.400 x4

=====

# 3
Computed powder diffraction line list of Au for Cu Kα (λ = 1.5418 Å), from a structure optimized by DFT (PBE).
Lines closer than 0.1° are merged.

Main lines, by angle (2θ from 10° to 90°):
(0 0 4), 2θ 34.92, rel. 55; (1 1 1), 2θ 35.41, rel. 100; (0 2 0), 2θ 40.53, rel. 39; (1 1 3), 2θ 43.53, rel. 83; (0 2 4), 2θ 54.55, rel. 31; (2 0 0), 2θ 56.98, rel. 29; (2 0 4), 2θ 68.59, rel. 16; (1 1 7), 2θ 74.05, rel. 23; (1 3 3), 2θ 75.82, rel. 17; (2 2 4), 2θ 82.82, rel. 20

Structure:
abc: 3.233 4.451 10.277
angles: 90.00 90.00 90.00
Space group Fmmm (No. 69)
Symmetry-distinct sites (fractional):
Au 0.000 0.000 0.133 x8

=====

# 4
Computed powder diffraction line list of RbZrBeTe3 for Cu Kα (λ = 1.5418 Å), from a structure optimized by DFT (PBE).
Lines closer than 0.1° are merged.

Main lines, by angle (2θ from 10° to 90°):
(0 2 0), 2θ 10.57, rel. 51; (0 2 3), 2θ 26.30, rel. 83; (1 3 0), 2θ 27.13, rel. 80; (1 3 1), 2θ 28.31, rel. 100; (0 0 4), 2θ 32.23, rel. 27; (0 6 1), 2θ 33.13, rel. 60; (1 5 2), 2θ 38.41, rel. 43; (2 0 0), 2θ 44.54, rel. 30; (1 3 5), 2θ 49.49, rel. 37; (1 7 3), 2θ 50.68, rel. 35

Structure:
abc: 4.068 16.735 11.117
angles: 90.00 90.00 90.00
Space group Cmcm (No. 63)
Symmetry-distinct sites (fractional):
Rb 0.000 0.242 0.250 x4
Zr 0.000 0.500 0.000 x4
Be 0.000 0.037 0.750 x4
Te 0.000 0.121 0.566 x8
Te 0.000 0.445 0.750 x4

=====

# 5
Computed powder diffraction line list of Cs3Cu2Bi5S10 for Cu Kα (λ = 1.5418 Å), from a structure optimized by DFT (PBE).
Lines closer than 0.1° are merged.

Main lines, by angle (2θ from 10° to 90°):
(2 0 0), 2θ 11.66, rel. 38; (2 4 0), 2θ 22.76, rel. 100; (4 0 0), 2θ 23.44, rel. 65; (1 3 1), 2θ 26.90, rel. 86; (3 1 1), 2θ 28.46, rel. 37; (3 2 1), 2θ 29.72, rel. 95; (2 6 0), 2θ 31.73, rel. 85; (1 6 1), 2θ 37.33, rel. 32; (5 3 1), 2θ 39.82, rel. 34; (0 0 2), 2θ 44.22, rel. 34

Structure:
abc: 15.182 18.227 4.096
angles: 90.00 90.00 90.00
Space group Pnnm (No. 58)
Symmetry-distinct sites (fractional):
Cs 0.000 0.000 0.000 x2
Cs 0.022 0.250 0.500 x4
Cu 0.224 0.744 0.000 x4
Bi 0.000 0.500 0.000 x2
Bi 0.212 0.591 0.500 x4
Bi 0.244 0.893 0.500 x4
S 0.096 0.633 0.000 x4
S 0.116 0.445 0.500 x4
S 0.138 0.849 0.000 x4
S 0.178 0.028 0.500 x4
S 0.207 0.222 0.000 x4

=====

# 6
Computed powder diffraction line list of Ta3N4 for Cu Kα (λ = 1.5418 Å), from a structure optimized by DFT (PBE).
Lines closer than 0.1° are merged.

Main lines, by angle (2θ from 10° to 90°):
(1 1 0), 2θ 20.76, rel. 19; (2 0 0), 2θ 24.02, rel. 40; (1 0 1), 2θ 28.79, rel. 69; (2 1 0), 2θ 31.96, rel. 100; (2 0 1), 2θ 35.76, rel. 72; (3 0 1), 2θ 45.32, rel. 40; (1 3 1), 2θ 51.93, rel. 20; (2 3 1), 2θ 60.88, rel. 32; (4 1 1), 2θ 63.68, rel. 23; (2 1 2), 2θ 63.85, rel. 28

Structure:
abc: 8.5554 8.5554 3.4150
angles: 90.00 90.00 120.00
Space group P6_3/m (No. 176)
Symmetry-distinct sites (fractional):
Ta 0.1630 0.7581 0.2500 x6
N 0.0176 0.6869 0.7500 x6
N 0.3333 0.6667 0.2500 x2

=====

# 7
Computed powder diffraction line list of Zn5N for Cu Kα (λ = 1.5418 Å), from a structure optimized by DFT (PBE).
Lines closer than 0.1° are merged.

Main lines, by angle (2θ from 10° to 90°):
(1 0 0), 2θ 20.96, rel. 98; (0 0 2), 2θ 40.83, rel. 48; (1 1 1), 2θ 42.22, rel. 98; (2 0 0), 2θ 42.67, rel. 22; (1 0 2), 2θ 46.33, rel. 25; (2 0 1), 2θ 47.59, rel. 100; (3 0 1), 2θ 69.91, rel. 20; (1 1 3), 2θ 75.29, rel. 16; (2 2 0), 2θ 78.12, rel. 19; (2 0 3), 2θ 79.18, rel. 21

Structure:
abc: 4.8935 4.8935 4.4202
angles: 90.00 90.00 120.00
Space group P6/mmm (No. 191)
Symmetry-distinct sites (fractional):
Zn 0.0000 0.5000 0.0000 x3
Zn 0.3333 0.6667 0.5000 x2
N 0.0000 0.0000 0.5000 x1

=====

# 8
Computed powder diffraction line list of U11Ni16 for Cu Kα (λ = 1.5418 Å), from a structure optimized by DFT (PBE).
Lines closer than 0.1° are merged.

Main lines, by angle (2θ from 10° to 90°):
(0 1 5), 2θ 23.43, rel. 17; (1 2 2), 2θ 24.85, rel. 53; (3 -1 7), 2θ 38.75, rel. 40; (3 1 5), 2θ 38.90, rel. 34; (2 3 2), 2θ 39.80, rel. 38; (4 1 0), 2θ 40.87, rel. 100; (0 4 5), 2θ 41.98, rel. 16; (1 2 8), 2θ 42.50, rel. 81; (5 -2 4), 2θ 42.77, rel. 16; (0 7 8), 2θ 75.54, rel. 19

Structure:
abc: 11.6847 11.6847 20.4766
angles: 90.00 90.00 120.00
Space group R-3 (No. 148, hexagonal axes)
Symmetry-distinct sites (fractional):
U 0.0000 0.0000 0.0717 x6
U 0.0000 0.0000 0.3061 x6
U 0.0367 0.7857 0.3381 x18
U 0.0480 0.7887 0.8749 x18
U 0.0803 0.5848 0.1414 x18
Ni 0.0000 0.0000 0.4384 x6
Ni 0.0245 0.8827 0.2003 x18
Ni 0.0371 0.8096 0.7355 x18
Ni 0.0480 0.8285 0.6071 x18
Ni 0.0496 0.7850 0.0988 x18
Ni 0.0873 0.2413 0.9982 x18